Record 1
Computed powder diffractogram
Compound: NdPt5
Radiation: a wavelength of 1.5418 Å
Structure: the GGA-PBE geometry in the Materials Project
Kinematic intensities with the Lorentz-polarization factor, no thermal factor.

Structural model:
Unit cell a=5.4287 b=5.4287 c=4.4415 alpha=90.00 beta=90.00 gamma=120.00
Space group P6/mmm (No. 191)
Unique sites:
1 Nd 0.0000 0.0000 0.0000 (multiplicity 1)
2 Pt 0.0000 0.5000 0.5000 (multiplicity 3)
3 Pt 0.3333 0.6667 0.0000 (multiplicity 2)

Largest 8 diffraction maxima, by angle, 10 to 80 degrees two-theta:
| h k l | two_theta | d/Å | I/Imax |
| --- | --- | --- | --- |
| 1 0 0 | 18.9 | 4.701 | 33 |
| 2 0 0 | 38.3 | 2.351 | 28 |
| 1 1 1 | 38.9 | 2.316 | 100 |
| 0 0 2 | 40.6 | 2.221 | 35 |
| 2 0 1 | 43.6 | 2.078 | 55 |
| 2 0 2 | 57.1 | 1.614 | 18 |
| 3 0 1 | 62.9 | 1.478 | 25 |
| 2 2 0 | 69.2 | 1.357 | 22 |

Record 2
Computed powder diffractogram
Compound: Zr6FeSn2
Radiation: a wavelength of 1.5418 Å
Structure: the GGA-PBE geometry in the Materials Project
Kinematic intensities with the Lorentz-polarization factor, no thermal factor.

Structural model:
Unit cell a=8.0366 b=8.0366 c=3.4808 alpha=90.00 beta=90.00 gamma=120.00
Space group P-62m (No. 189)
Unique sites:
1 Zr 0.0000 0.2406 0.0000 (multiplicity 3)
2 Zr 0.0000 0.6085 0.5000 (multiplicity 3)
3 Fe 0.0000 0.0000 0.5000 (multiplicity 1)
4 Sn 0.3333 0.6667 0.0000 (multiplicity 2)

Largest 8 diffraction maxima, by angle, 10 to 80 degrees two-theta:
| h k l | two_theta | d/Å | I/Imax |
| --- | --- | --- | --- |
| 1 1 1 | 34.1 | 2.631 | 100 |
| 2 0 1 | 36.5 | 2.461 | 41 |
| 3 0 0 | 38.8 | 2.320 | 31 |
| 2 1 1 | 43.1 | 2.099 | 26 |
| 0 0 2 | 52.6 | 1.740 | 14 |
| 4 1 0 | 61.0 | 1.519 | 8 |
| 3 2 1 | 64.2 | 1.451 | 30 |
| 3 0 2 | 67.3 | 1.392 | 27 |

Record 3
Computed powder diffractogram
Compound: Ca2Co12P7
Radiation: a wavelength of 1.5418 Å
Structure: the GGA-PBE geometry in the Materials Project
Kinematic intensities with the Lorentz-polarization factor, no thermal factor.

Structural model:
Unit cell a=9.0314 b=9.0314 c=3.5619 alpha=90.00 beta=90.00 gamma=120.00
Space group P-6 (No. 174)
Unique sites:
1 Ca 0.0000 0.0000 0.0000 (multiplicity 1)
2 Ca 0.3333 0.6667 0.5000 (multiplicity 1)
3 Co 0.0492 0.7678 0.5000 (multiplicity 3)
4 Co 0.1012 0.3915 0.0000 (multiplicity 3)
5 Co 0.3949 0.2139 0.0000 (multiplicity 3)
6 Co 0.5349 0.0984 0.5000 (multiplicity 3)
7 P 0.0712 0.6254 0.0000 (multiplicity 3)
8 P 0.2654 0.0417 0.5000 (multiplicity 3)
9 P 0.6667 0.3333 0.0000 (multiplicity 1)

Largest 8 diffraction maxima, by angle, 10 to 80 degrees two-theta:
| h k l | two_theta | d/Å | I/Imax |
| --- | --- | --- | --- |
| 1 1 0 | 19.7 | 4.516 | 14 |
| 1 2 1 | 39.6 | 2.275 | 100 |
| 3 0 1 | 43.0 | 2.104 | 12 |
| 3 1 1 | 49.2 | 1.853 | 26 |
| 2 3 0 | 50.9 | 1.794 | 18 |
| 0 0 2 | 51.3 | 1.781 | 21 |
| 4 1 0 | 53.7 | 1.707 | 17 |
| 4 1 2 | 77.5 | 1.232 | 11 |

Record 4
Computed powder diffractogram
Compound: Mn3W3C
Radiation: a wavelength of 1.5418 Å
Structure: the GGA-PBE geometry in the Materials Project
Kinematic intensities with the Lorentz-polarization factor, no thermal factor.

Structural model:
Unit cell a=11.135 b=11.135 c=11.135 alpha=90.00 beta=90.00 gamma=90.00
Space group Fd-3m (No. 227, origin choice 2)
Unique sites:
1 Mn 0.000 0.000 0.000 (multiplicity 16)
2 Mn 0.047 0.047 0.203 (multiplicity 32)
3 W 0.073 0.375 0.875 (multiplicity 48)
4 C 0.000 0.000 0.500 (multiplicity 16)

Largest 8 diffraction maxima, by angle, 10 to 80 degrees two-theta:
| h k l | two_theta | d/Å | I/Imax |
| --- | --- | --- | --- |
| 4 0 0 | 32.2 | 2.784 | 36 |
| 3 3 1 | 35.1 | 2.554 | 31 |
| 4 2 2 | 39.7 | 2.273 | 58 |
| 3 3 3 | 42.2 | 2.143 | 100 |
| 4 4 0 | 46.1 | 1.968 | 39 |
| 5 5 1 | 59.3 | 1.559 | 18 |
| 7 3 3 | 69.0 | 1.360 | 17 |
| 8 2 2 | 72.0 | 1.312 | 48 |

Record 5
Computed powder diffractogram
Compound: Nb3SiNi8
Radiation: a wavelength of 1.5418 Å
Structure: the GGA-PBE geometry in the Materials Project
Kinematic intensities with the Lorentz-polarization factor, no thermal factor.

Structural model:
Unit cell a=4.7945 b=4.7945 c=7.7005 alpha=90.00 beta=90.00 gamma=120.00
Space group P3m1 (No. 156)
Unique sites:
1 Nb 0.0000 0.0000 0.0000 (multiplicity 1)
2 Nb 0.0000 0.0000 0.3823 (multiplicity 1)
3 Nb 0.6667 0.3333 0.8600 (multiplicity 1)
4 Si 0.6667 0.3333 0.4858 (multiplicity 1)
5 Ni 0.1641 0.3282 0.6899 (multiplicity 3)
6 Ni 0.3333 0.6667 0.4414 (multiplicity 1)
7 Ni 0.3333 0.6667 0.9445 (multiplicity 1)
8 Ni 0.5029 0.0058 0.1922 (multiplicity 3)

Largest 8 diffraction maxima, by angle, 10 to 80 degrees two-theta:
| h k l | two_theta | d/Å | I/Imax |
| --- | --- | --- | --- |
| 1 1 0 | 37.5 | 2.397 | 36 |
| 1 0 3 | 41.4 | 2.183 | 73 |
| 1 1 2 | 44.5 | 2.035 | 100 |
| 2 0 1 | 45.2 | 2.005 | 83 |
| 0 2 2 | 49.9 | 1.827 | 17 |
| 2 1 3 | 70.3 | 1.339 | 26 |
| 0 3 2 | 72.6 | 1.302 | 22 |
| 0 2 5 | 77.1 | 1.237 | 26 |

Record 6
Computed powder diffractogram
Compound: KSrSnBiO6
Radiation: a wavelength of 1.5418 Å
Structure: the GGA-PBE geometry in the Materials Project
Kinematic intensities with the Lorentz-polarization factor, no thermal factor.

Structural model:
Unit cell a=8.374 b=8.374 c=8.374 alpha=90.00 beta=90.00 gamma=90.00
Space group F-43m (No. 216)
Unique sites:
1 K 0.000 0.000 0.000 (multiplicity 4)
2 Sr 0.000 0.000 0.500 (multiplicity 4)
3 Sn 0.250 0.250 0.250 (multiplicity 4)
4 Bi 0.250 0.250 0.750 (multiplicity 4)
5 O 0.003 0.250 0.250 (multiplicity 24)

Largest 8 diffraction maxima, by angle, 10 to 80 degrees two-theta:
| h k l | two_theta | d/Å | I/Imax |
| --- | --- | --- | --- |
| 1 1 1 | 18.4 | 4.835 | 11 |
| 2 0 0 | 21.2 | 4.187 | 35 |
| 2 2 0 | 30.2 | 2.961 | 100 |
| 4 0 0 | 43.2 | 2.093 | 32 |
| 4 2 0 | 48.6 | 1.872 | 17 |
| 4 2 2 | 53.6 | 1.709 | 41 |
| 4 4 0 | 62.8 | 1.480 | 20 |
| 6 2 0 | 71.2 | 1.324 | 18 |

Record 7
Computed powder diffractogram
Compound: Lu2C3N6
Radiation: a wavelength of 1.5418 Å
Structure: the GGA-PBE geometry in the Materials Project
Kinematic intensities with the Lorentz-polarization factor, no thermal factor.

Structural model:
Unit cell a=6.2347 b=6.2347 c=15.0077 alpha=90.00 beta=90.00 gamma=120.00
Space group R32 (No. 155, hexagonal axes)
Unique sites:
1 Lu 0.0000 0.0000 0.1722 (multiplicity 6)
2 C 0.0000 0.2894 0.0000 (multiplicity 9)
3 N 0.0046 0.4237 0.5907 (multiplicity 18)

Largest 8 diffraction maxima, by angle, 10 to 80 degrees two-theta:
| h k l | two_theta | d/Å | I/Imax |
| --- | --- | --- | --- |
| 1 0 1 | 17.5 | 5.081 | 69 |
| 0 0 3 | 17.7 | 5.003 | 52 |
| 0 1 2 | 20.3 | 4.383 | 52 |
| 1 1 0 | 28.6 | 3.117 | 54 |
| 1 1 3 | 33.9 | 2.646 | 100 |
| 1 1 6 | 46.6 | 1.951 | 39 |
| 0 3 3 | 54.2 | 1.694 | 21 |
| 2 2 3 | 62.4 | 1.489 | 21 |

Record 8
Computed powder diffractogram
Compound: MnCoSi
Radiation: a wavelength of 1.5418 Å
Structure: the GGA-PBE geometry in the Materials Project
Kinematic intensities with the Lorentz-polarization factor, no thermal factor.

Structural model:
Unit cell a=3.9741 b=3.9741 c=5.0623 alpha=90.00 beta=90.00 gamma=120.00
Space group P6_3/mmc (No. 194)
Unique sites:
1 Mn 0.3333 0.6667 0.2500 (multiplicity 2)
2 Co 0.3333 0.6667 0.7500 (multiplicity 2)
3 Si 0.0000 0.0000 0.0000 (multiplicity 2)

Largest 8 diffraction maxima, by angle, 10 to 80 degrees two-theta:
| h k l | two_theta | d/Å | I/Imax |
| --- | --- | --- | --- |
| 1 0 0 | 25.9 | 3.442 | 21 |
| 0 0 2 | 35.5 | 2.531 | 27 |
| 1 0 2 | 44.4 | 2.039 | 78 |
| 1 1 0 | 45.7 | 1.987 | 100 |
| 2 0 0 | 53.2 | 1.721 | 3 |
| 1 1 2 | 59.1 | 1.563 | 32 |
| 2 0 2 | 65.6 | 1.423 | 22 |
| 0 0 4 | 75.1 | 1.266 | 7 |

Record 9
Computed powder diffractogram
Compound: Tm4InNi2Ge4
Radiation: a wavelength of 1.5418 Å
Structure: the GGA-PBE geometry in the Materials Project
Kinematic intensities with the Lorentz-polarization factor, no thermal factor.

Structural model:
Unit cell a=15.345 b=4.192 c=6.990 alpha=90.00 beta=108.61 gamma=90.00
Space group C2/m (No. 12)
Unique sites:
1 Tm 0.091 0.000 0.391 (multiplicity 4)
2 Tm 0.156 0.000 0.937 (multiplicity 4)
3 In 0.000 0.500 0.000 (multiplicity 2)
4 Ni 0.218 0.500 0.638 (multiplicity 4)
5 Ge 0.066 0.500 0.663 (multiplicity 4)
6 Ge 0.202 0.500 0.264 (multiplicity 4)

Largest 8 diffraction maxima, by angle, 10 to 80 degrees two-theta:
| h k l | two_theta | d/Å | I/Imax |
| --- | --- | --- | --- |
| 3 1 0 | 28.1 | 3.171 | 28 |
| 3 1 1 | 33.8 | 2.652 | 76 |
| 3 1 -2 | 34.8 | 2.575 | 100 |
| 6 0 -1 | 35.1 | 2.554 | 31 |
| 5 1 -1 | 36.5 | 2.464 | 39 |
| 1 1 2 | 36.6 | 2.454 | 58 |
| 5 1 0 | 37.6 | 2.390 | 34 |
| 0 2 0 | 43.2 | 2.096 | 53 |

Record 10
Computed powder diffractogram
Compound: MgSi2
Radiation: a wavelength of 1.5418 Å
Structure: the GGA-PBE geometry in the Materials Project
Kinematic intensities with the Lorentz-polarization factor, no thermal factor.

Structural model:
Unit cell a=3.727 b=5.522 c=11.896 alpha=77.79 beta=81.51 gamma=70.30
Space group P1 (No. 1)
Unique sites:
1 Mg 0.000 0.000 0.000 (multiplicity 1)
2 Mg 0.044 0.286 0.556 (multiplicity 1)
3 Mg 0.418 0.316 0.807 (multiplicity 1)
4 Mg 0.645 0.266 0.312 (multiplicity 1)
5 Si 0.132 0.913 0.773 (multiplicity 1)
6 Si 0.315 0.290 0.093 (multiplicity 1)
7 Si 0.321 0.682 0.609 (multiplicity 1)
8 Si 0.394 0.868 0.222 (multiplicity 1)
9 Si 0.678 0.581 0.083 (multiplicity 1)
10 Si 0.699 0.684 0.875 (multiplicity 1)
11 Si 0.767 0.887 0.505 (multiplicity 1)
12 Si 0.931 0.680 0.338 (multiplicity 1)

Largest 8 diffraction maxima, by angle, 10 to 80 degrees two-theta:
| h k l | two_theta | d/Å | I/Imax |
| --- | --- | --- | --- |
| 0 0 4 | 30.9 | 2.894 | 100 |
| -1 1 1 | 36.0 | 2.492 | 50 |
| 1 2 0 | 36.4 | 2.470 | 37 |
| 0 1 -4 | 38.3 | 2.351 | 60 |
| 1 2 -1 | 38.9 | 2.313 | 53 |
| 1 -1 2 | 39.1 | 2.303 | 47 |
| 0 2 4 | 42.9 | 2.108 | 87 |
| 2 1 1 | 48.9 | 1.863 | 95 |

Record 11
Computed powder diffractogram
Compound: Pb2O3
Radiation: a wavelength of 1.5418 Å
Structure: the GGA-PBE geometry in the Materials Project
Kinematic intensities with the Lorentz-polarization factor, no thermal factor.

Structural model:
Unit cell a=7.700 b=5.762 c=7.974 alpha=90.00 beta=112.91 gamma=90.00
Space group P2_1/c (No. 14)
Unique sites:
1 Pb 0.088 0.246 0.116 (multiplicity 4)
2 Pb 0.388 0.744 0.850 (multiplicity 4)
3 O 0.067 0.067 0.360 (multiplicity 4)
4 O 0.191 0.591 0.551 (multiplicity 4)
5 O 0.369 0.130 0.764 (multiplicity 4)

Largest 8 diffraction maxima, by angle, 10 to 80 degrees two-theta:
| h k l | two_theta | d/Å | I/Imax |
| --- | --- | --- | --- |
| 2 0 -2 | 27.3 | 3.264 | 51 |
| 0 1 2 | 28.8 | 3.097 | 100 |
| 2 1 0 | 29.6 | 3.020 | 88 |
| 0 2 0 | 31.0 | 2.881 | 43 |
| 2 2 -2 | 41.8 | 2.161 | 57 |
| 2 1 -4 | 48.8 | 1.868 | 25 |
| 0 3 2 | 53.9 | 1.702 | 22 |
| 2 3 0 | 54.3 | 1.689 | 19 |

Record 12
Computed powder diffractogram
Compound: Nd3I
Radiation: a wavelength of 1.5418 Å
Structure: the GGA-PBE geometry in the Materials Project
Kinematic intensities with the Lorentz-polarization factor, no thermal factor.

Structural model:
Unit cell a=7.0835 b=7.0835 c=5.8052 alpha=90.00 beta=90.00 gamma=120.00
Space group P6_3/mmc (No. 194)
Unique sites:
1 Nd 0.1665 0.3330 0.2500 (multiplicity 6)
2 I 0.3333 0.6667 0.7500 (multiplicity 2)

Largest 8 diffraction maxima, by angle, 10 to 80 degrees two-theta:
| h k l | two_theta | d/Å | I/Imax |
| --- | --- | --- | --- |
| 2 0 0 | 29.1 | 3.067 | 23 |
| 0 0 2 | 30.8 | 2.903 | 27 |
| 2 0 1 | 33.0 | 2.712 | 100 |
| 2 0 2 | 42.9 | 2.108 | 16 |
| 2 2 0 | 51.6 | 1.771 | 19 |
| 2 0 3 | 56.2 | 1.637 | 22 |
| 2 2 2 | 61.3 | 1.512 | 22 |
| 4 0 1 | 62.7 | 1.483 | 16 |